[1]
Starting from DFT lattice parameters and positions (PBE), the powder diffractogram of Nd7SmHo3 was computed for Cu Ka.
Lines closer than 0.1° are merged.

Cell and atoms:
```
data_Nd7SmHo3
_chemical_formula_sum 'Nd14 Sm2 Ho6'
_space_group_name_H-M_alt 'P 1'
_space_group_IT_number 1
_cell_length_a 10.295
_cell_length_b 10.295
_cell_length_c 12.580
_cell_angle_alpha 114.16
_cell_angle_beta 114.16
_cell_angle_gamma 41.21
loop_
_space_group_symop_operation_xyz
'x,y,z'
loop_
_atom_site_label
_atom_site_type_symbol
_atom_site_fract_x
_atom_site_fract_y
_atom_site_fract_z
Nd1 Nd 0.080 0.584 0.470
Nd2 Nd 0.081 0.584 0.972
Nd3 Nd 0.232 0.768 0.750
Nd4 Nd 0.333 0.346 0.225
Nd5 Nd 0.346 0.333 0.725
Nd6 Nd 0.416 0.919 0.528
Nd7 Nd 0.416 0.920 0.030
Nd8 Nd 0.584 0.080 0.970
Nd9 Nd 0.584 0.081 0.472
Nd10 Nd 0.654 0.667 0.275
Nd11 Nd 0.667 0.654 0.775
Nd12 Nd 0.768 0.232 0.250
Nd13 Nd 0.919 0.416 0.028
Nd14 Nd 0.920 0.416 0.530
Sm1 Sm 0.000 0.000 0.000
Sm2 Sm 0.000 0.000 0.500
Ho1 Ho 0.166 0.172 0.276
Ho2 Ho 0.172 0.166 0.776
Ho3 Ho 0.500 0.500 0.000
Ho4 Ho 0.500 0.500 0.500
Ho5 Ho 0.828 0.834 0.224
Ho6 Ho 0.834 0.828 0.724
```

Peak list (10 most intense, 10° ≤ 2θ ≤ 90°, by angle)
28.62 deg, I 30; 29.25 deg, I 29; 30.95 deg, I 51; 31.63 deg, I 100; 33.32 deg, I 86; 50.28 deg, I 26; 50.37 deg, I 13; 54.36 deg, I 14; 60.16 deg, I 15; 60.30 deg, I 30

[2]
Starting from DFT lattice parameters and positions (PBE), the powder diffractogram of Mg2CuPd9 was computed for Cu Ka.
Lines closer than 0.1° are merged.

Cell and atoms:
```
data_Mg2CuPd9
_chemical_formula_sum 'Mg2 Cu1 Pd9'
_space_group_name_H-M_alt 'P 1'
_space_group_IT_number 1
_cell_length_a 3.946
_cell_length_b 3.946
_cell_length_c 11.849
_cell_angle_alpha 90.00
_cell_angle_beta 90.00
_cell_angle_gamma 90.00
loop_
_space_group_symop_operation_xyz
'x,y,z'
loop_
_atom_site_label
_atom_site_type_symbol
_atom_site_fract_x
_atom_site_fract_y
_atom_site_fract_z
Mg1 Mg 0.000 0.000 0.168
Mg2 Mg 0.000 0.000 0.832
Cu1 Cu 0.000 0.000 0.500
Pd1 Pd 0.000 0.500 0.000
Pd2 Pd 0.000 0.500 0.339
Pd3 Pd 0.000 0.500 0.661
Pd4 Pd 0.500 0.000 0.000
Pd5 Pd 0.500 0.000 0.339
Pd6 Pd 0.500 0.000 0.661
Pd7 Pd 0.500 0.500 0.169
Pd8 Pd 0.500 0.500 0.500
Pd9 Pd 0.500 0.500 0.831
```

Peak list (10 most intense, 10° ≤ 2θ ≤ 90°, by angle)
22.53 deg, I 11; 32.07 deg, I 9; 39.54 deg, I 100; 45.99 deg, I 48; 51.79 deg, I 5; 57.16 deg, I 3; 67.06 deg, I 30; 71.74 deg, I 2; 80.75 deg, I 35; 85.15 deg, I 10

[3]
Starting from DFT lattice parameters and positions (PBE), the powder diffractogram of CrCoCu2Te was computed for Cu Ka.
Lines closer than 0.1° are merged.

Cell and atoms:
```
data_CrCoCu2Te
_chemical_formula_sum 'Cr1 Co1 Cu2 Te1'
_space_group_name_H-M_alt 'P 1'
_space_group_IT_number 1
_cell_length_a 4.621
_cell_length_b 4.621
_cell_length_c 4.241
_cell_angle_alpha 90.00
_cell_angle_beta 90.00
_cell_angle_gamma 90.00
loop_
_space_group_symop_operation_xyz
'x,y,z'
loop_
_atom_site_label
_atom_site_type_symbol
_atom_site_fract_x
_atom_site_fract_y
_atom_site_fract_z
Cr1 Cr 0.000 0.000 0.000
Co1 Co 0.000 0.000 0.500
Cu1 Cu 0.000 0.500 0.000
Cu2 Cu 0.500 0.000 0.000
Te1 Te 0.500 0.500 0.500
```

Peak list (10 most intense, 10° ≤ 2θ ≤ 90°, by angle)
27.29 deg, I 13; 28.57 deg, I 30; 34.66 deg, I 100; 38.98 deg, I 70; 42.64 deg, I 27; 49.03 deg, I 13; 56.31 deg, I 23; 59.14 deg, I 39; 67.83 deg, I 26; 73.12 deg, I 20

[4]
Starting from DFT lattice parameters and positions (PBE), the powder diffractogram of RbTeBr2 was computed for Cu Ka.
Lines closer than 0.1° are merged.

Cell and atoms:
```
data_RbTeBr2
_chemical_formula_sum 'Rb4 Te4 Br8'
_space_group_name_H-M_alt 'P 1'
_space_group_IT_number 1
_cell_length_a 6.114
_cell_length_b 6.114
_cell_length_c 19.135
_cell_angle_alpha 90.00
_cell_angle_beta 90.00
_cell_angle_gamma 90.00
loop_
_space_group_symop_operation_xyz
'x,y,z'
loop_
_atom_site_label
_atom_site_type_symbol
_atom_site_fract_x
_atom_site_fract_y
_atom_site_fract_z
Rb1 Rb 0.000 0.000 0.000
Rb2 Rb 0.000 0.500 0.250
Rb3 Rb 0.500 0.000 0.750
Rb4 Rb 0.500 0.500 0.500
Te1 Te 0.000 0.000 0.500
Te2 Te 0.000 0.500 0.750
Te3 Te 0.500 0.000 0.250
Te4 Te 0.500 0.500 0.000
Br1 Br 0.162 0.250 0.625
Br2 Br 0.250 0.662 0.875
Br3 Br 0.250 0.838 0.375
Br4 Br 0.338 0.250 0.125
Br5 Br 0.662 0.750 0.125
Br6 Br 0.750 0.162 0.375
Br7 Br 0.750 0.338 0.875
Br8 Br 0.838 0.750 0.625
```

Peak list (10 most intense, 10° ≤ 2θ ≤ 90°, by angle)
15.21 deg, I 19; 22.57 deg, I 100; 34.83 deg, I 55; 34.96 deg, I 32; 35.73 deg, I 10; 37.60 deg, I 14; 41.79 deg, I 12; 48.00 deg, I 19; 52.28 deg, I 10; 55.58 deg, I 12

[5]
Starting from DFT lattice parameters and positions (PBE), the powder diffractogram of HPd2 was computed for Cu Ka.
Lines closer than 0.1° are merged.

Cell and atoms:
```
data_HPd2
_chemical_formula_sum 'H2 Pd4'
_space_group_name_H-M_alt 'P 1'
_space_group_IT_number 1
_cell_length_a 2.820
_cell_length_b 2.823
_cell_length_c 8.375
_cell_angle_alpha 90.00
_cell_angle_beta 90.18
_cell_angle_gamma 90.00
loop_
_space_group_symop_operation_xyz
'x,y,z'
loop_
_atom_site_label
_atom_site_type_symbol
_atom_site_fract_x
_atom_site_fract_y
_atom_site_fract_z
H1 H 0.238 0.250 0.337
H2 H 0.762 0.750 0.663
Pd1 Pd 0.249 0.250 0.628
Pd2 Pd 0.252 0.250 0.118
Pd3 Pd 0.748 0.750 0.882
Pd4 Pd 0.751 0.750 0.372
```

Peak list (10 most intense, 10° ≤ 2θ ≤ 90°, by angle)
38.45 deg, I 100; 38.54 deg, I 33; 43.21 deg, I 24; 45.46 deg, I 42; 64.44 deg, I 14; 64.59 deg, I 14; 66.24 deg, I 13; 76.03 deg, I 13; 79.26 deg, I 23; 82.37 deg, I 11

[6]
Starting from DFT lattice parameters and positions (PBE), the powder diffractogram of BeTc was computed for Cu Ka.
Lines closer than 0.1° are merged.

Cell and atoms:
```
data_BeTc
_chemical_formula_sum 'Be4 Tc4'
_space_group_name_H-M_alt 'P 1'
_space_group_IT_number 1
_cell_length_a 3.100
_cell_length_b 8.777
_cell_length_c 3.205
_cell_angle_alpha 90.00
_cell_angle_beta 90.00
_cell_angle_gamma 90.00
loop_
_space_group_symop_operation_xyz
'x,y,z'
loop_
_atom_site_label
_atom_site_type_symbol
_atom_site_fract_x
_atom_site_fract_y
_atom_site_fract_z
Be1 Be 0.000 0.070 0.250
Be2 Be 0.000 0.930 0.750
Be3 Be 0.500 0.430 0.750
Be4 Be 0.500 0.570 0.250
Tc1 Tc 0.000 0.351 0.250
Tc2 Tc 0.000 0.649 0.750
Tc3 Tc 0.500 0.149 0.750
Tc4 Tc 0.500 0.851 0.250
```

Peak list (10 most intense, 10° ≤ 2θ ≤ 90°, by angle)
20.24 deg, I 16; 30.58 deg, I 49; 34.66 deg, I 100; 41.14 deg, I 26; 41.83 deg, I 99; 42.49 deg, I 63; 50.40 deg, I 16; 67.99 deg, I 30; 70.85 deg, I 29; 74.06 deg, I 23

Which formula does entry 6 have? BeTc

Number 3 is which compound? CrCoCu2Te